1.
Starting from DFT lattice parameters and positions (GGA-PBE), the powder XRD pattern of Pu3Si4Ir2 was simulated for Cu Kα X-rays.
Intensities are scaled so that the largest is 100.

Structural model:
Unit cell a=5.7769 b=5.7769 c=8.4097 alpha=112.43 beta=112.43 gamma=41.78
Element x y z (fractional)
Pu 0.0000 0.0000 0.0000
Pu 0.3917 0.3917 0.3231
Pu 0.6083 0.6083 0.6769
Si 0.1302 0.1302 0.4218
Si 0.2687 0.2687 0.9375
Si 0.7313 0.7313 0.0625
Si 0.8698 0.8698 0.5782
Ir 0.3380 0.3380 0.7018
Ir 0.6620 0.6620 0.2982

Principal peaks in the range 10 to 80 degrees two-theta, sorted by position:
2θ/deg	intensity
24.44	50
27.78	58
30.38	57
34.30	80
34.94	100
35.07	78
35.77	84
41.08	60
43.95	59
56.93	52

***

2.
Starting from DFT lattice parameters and positions (GGA-PBE), the powder XRD pattern of PuSi2Ir4 was simulated for Cu Kα X-rays.
Intensities are scaled so that the largest is 100.

Structural model:
Unit cell a=7.6086 b=7.6086 c=3.8638 alpha=90.00 beta=90.00 gamma=90.00
Element x y z (fractional)
Pu 0.0000 0.0000 0.0000
Pu 0.5000 0.5000 0.5000
Si 0.2267 0.2267 0.5000
Si 0.2733 0.7267 0.0000
Si 0.7267 0.2733 0.0000
Si 0.7733 0.7733 0.5000
Ir 0.0764 0.6663 0.5000
Ir 0.1663 0.4236 0.0000
Ir 0.3337 0.9236 0.5000
Ir 0.4236 0.1663 0.0000
Ir 0.5764 0.8337 0.0000
Ir 0.6663 0.0764 0.5000
Ir 0.8337 0.5764 0.0000
Ir 0.9236 0.3337 0.5000

Principal peaks in the range 10 to 80 degrees two-theta, sorted by position:
2θ/deg	intensity
28.44	19
35.14	100
37.38	46
40.88	36
44.35	28
47.04	23
49.39	17
61.56	22
65.98	24
70.58	12